Theoretical X-ray diffraction stick pattern
Compound: Sc2TiVO6
Radiation: Cu Kα
Structure: a DFT-relaxed cell (GGA+U, Alexandria)
Neutral-atom scattering factors, no anomalous dispersion.

Crystal structure
Lattice parameters (Å, degrees): 5.2726 5.2726 14.2153 90.00 90.00 120.00
Space group R3 (No. 146, hexagonal axes)
Asymmetric unit:
Sc (0.0000, 0.0000, 0.0000) (multiplicity 3)
Sc (0.0000, 0.0000, 0.4953) (multiplicity 3)
Ti (0.0000, 0.0000, 0.2056) (multiplicity 3)
V (0.0000, 0.0000, 0.7023) (multiplicity 3)
O (0.0336, 0.3391, 0.2686) (multiplicity 9)
O (0.0434, 0.6685, 0.7733) (multiplicity 9)

Largest 6 diffraction maxima, by angle, 2θ = 5–70°:
hkl 0 1 2, 2θ = 23.15°, I = 45; hkl 1 0 4, 2θ = 31.91°, I = 100; hkl 1 1 0, 2θ = 34.01°, I = 75; hkl 0 2 4, 2θ = 47.32°, I = 44; hkl 2 -1 6, 2θ = 51.89°, I = 66; hkl 3 0 0, 2θ = 60.86°, I = 41